The following is a simulated X-ray diffraction stick pattern of BaS2Br. It was derived from DFT lattice parameters and positions (GGA-PBE), using Cu Kα (weighted mean of Kα1 and Kα2).

Atomic structure:
```
data_BaS2Br
_space_group_name_H-M_alt 'C 2 2 21'
_space_group_IT_number 20
_cell_length_a 9.4331
_cell_length_b 14.5041
_cell_length_c 4.9623
_cell_angle_alpha 90.00
_cell_angle_beta 90.00
_cell_angle_gamma 90.00
loop_
_space_group_symop_operation_xyz
'x,y,z'
'-x,-y,z+1/2'
'x,-y,-z'
'-x,y,-z+1/2'
'x+1/2,y+1/2,z'
'-x+1/2,-y+1/2,z+1/2'
'x+1/2,-y+1/2,-z'
'-x+1/2,y+1/2,-z+1/2'
loop_
_atom_site_label
_atom_site_type_symbol
_atom_site_fract_x
_atom_site_fract_y
_atom_site_fract_z
_atom_site_occupancy
Ba1 Ba 0.2400 0.0000 0.0000 1
S1 S 0.0357 0.4025 0.9415 1
Br1 Br 0.0000 0.1246 0.2500 1
```

Principal peaks in the range 10 to 90 degrees two-theta, low angle first:
- 7.252 Å, intensity 100.0, (0 2 0)
- 4.203 Å, intensity 74.9, (1 1 1)
- 4.095 Å, intensity 25.1, (0 2 1)
- 3.954 Å, intensity 23.5, (2 2 0)
- 3.251 Å, intensity 47.7, (1 3 1)
- 3.092 Å, intensity 24.3, (2 2 1)
- 2.875 Å, intensity 59.4, (2 4 0)
- 2.613 Å, intensity 38.0, (3 1 1)
- 2.420 Å, intensity 28.1, (1 5 1)
- 1.545 Å, intensity 17.4, (4 4 2)



The following is a simulated X-ray diffraction stick pattern of UP6Se12. It was derived from DFT lattice parameters and positions (GGA-PBE), using Cu Kα (weighted mean of Kα1 and Kα2).

Atomic structure:
```
data_UP6Se12
_space_group_name_H-M_alt 'P -1'
_space_group_IT_number 2
_cell_length_a 6.4277
_cell_length_b 7.8271
_cell_length_c 11.8367
_cell_angle_alpha 78.49
_cell_angle_beta 82.88
_cell_angle_gamma 74.76
loop_
_space_group_symop_operation_xyz
'x,y,z'
'-x,-y,-z'
loop_
_atom_site_label
_atom_site_type_symbol
_atom_site_fract_x
_atom_site_fract_y
_atom_site_fract_z
_atom_site_occupancy
U1 U 0.0000 0.0000 0.0000 1
P1 P 0.1765 0.4899 0.9733 1
P2 P 0.2761 0.2012 0.0595 1
P3 P 0.4109 0.8374 0.8586 1
Se1 Se 0.0521 0.1119 0.2057 1
Se2 Se 0.1690 0.6290 0.4479 1
Se3 Se 0.2377 0.6558 0.1005 1
Se4 Se 0.3163 0.1274 0.8048 1
Se5 Se 0.4085 0.7946 0.4840 1
Se6 Se 0.4111 0.3990 0.3568 1
```

Principal peaks in the range 10 to 90 degrees two-theta, low angle first:
- 6.819 Å, intensity 65.3, (0 1 1)
- 5.796 Å, intensity 100.0, (0 0 2)
- 5.457 Å, intensity 39.8, (1 1 0)
- 5.290 Å, intensity 81.4, (1 0 -1)
- 3.943 Å, intensity 49.8, (1 -1 1)
- 3.399 Å, intensity 39.7, (1 2 2)
- 2.922 Å, intensity 48.6, (2 1 -1)
- 2.890 Å, intensity 45.4, (1 -2 0)
- 2.548 Å, intensity 50.8, (0 1 -4)
- 2.467 Å, intensity 49.3, (2 2 3)



The following is a simulated X-ray diffraction stick pattern of Cd3I2O2. It was derived from DFT lattice parameters and positions (GGA-PBE), using Cu Kα (weighted mean of Kα1 and Kα2).

Atomic structure:
```
data_Cd3I2O2
_space_group_name_H-M_alt 'C 1 2/m 1'
_space_group_IT_number 12
_cell_length_a 13.4612
_cell_length_b 4.0884
_cell_length_c 6.9974
_cell_angle_alpha 90.00
_cell_angle_beta 118.22
_cell_angle_gamma 90.00
loop_
_space_group_symop_operation_xyz
'x,y,z'
'-x,-y,-z'
'-x,y,-z'
'x,-y,z'
'x+1/2,y+1/2,z'
'-x+1/2,-y+1/2,-z'
'-x+1/2,y+1/2,-z'
'x+1/2,-y+1/2,z'
loop_
_atom_site_label
_atom_site_type_symbol
_atom_site_fract_x
_atom_site_fract_y
_atom_site_fract_z
_atom_site_occupancy
Cd1 Cd 0.0000 0.0000 0.0000 1
Cd2 Cd 0.2467 0.5000 0.1806 1
I1 I 0.0987 0.5000 0.3881 1
O1 O 0.1692 0.0000 0.0307 1
```

Principal peaks in the range 10 to 90 degrees two-theta, low angle first:
- 3.365 Å, intensity 33.7, (4 0 -1)
- 3.069 Å, intensity 100.0, (1 1 1)
- 2.570 Å, intensity 45.0, (3 1 -2)
- 2.323 Å, intensity 15.3, (2 0 2)
- 2.309 Å, intensity 22.4, (2 0 -3)
- 2.052 Å, intensity 12.1, (5 1 0)
- 2.044 Å, intensity 18.0, (0 2 0)
- 1.747 Å, intensity 12.4, (4 2 -1)
- 1.531 Å, intensity 11.9, (2 2 -3)
- 1.514 Å, intensity 12.5, (1 1 -4)



The following is a simulated X-ray diffraction stick pattern of Dy6VSn10. It was derived from DFT lattice parameters and positions (GGA-PBE), using Cu Kα (weighted mean of Kα1 and Kα2).

Atomic structure:
```
data_Dy6VSn10
_space_group_name_H-M_alt 'P -3 1 m'
_space_group_IT_number 162
_space_group_name_Hall '-P 3 2'
_cell_length_a 9.1023
_cell_length_b 9.1023
_cell_length_c 6.1558
_cell_angle_alpha 90.00
_cell_angle_beta 90.00
_cell_angle_gamma 120.00
loop_
_atom_site_label
_atom_site_type_symbol
_atom_site_fract_x
_atom_site_fract_y
_atom_site_fract_z
_atom_site_occupancy
Dy1 Dy 0.0000 0.3915 0.2537 1
V1 V 0.0000 0.0000 0.5000 1
Sn1 Sn 0.0000 0.2294 0.7822 1
Sn2 Sn 0.3333 0.6667 0.0000 1
Sn3 Sn 0.3333 0.6667 0.5000 1
```

Principal peaks in the range 10 to 90 degrees two-theta, low angle first:
- 3.660 Å, intensity 13.3, (1 1 1)
- 3.078 Å, intensity 16.9, (0 0 2)
- 2.979 Å, intensity 21.5, (2 1 0)
- 2.682 Å, intensity 100.0, (3 -1 1)
- 2.628 Å, intensity 40.7, (3 0 0)
- 2.550 Å, intensity 67.2, (1 1 2)
- 2.134 Å, intensity 17.1, (4 -2 1)
- 1.830 Å, intensity 17.1, (2 2 2)
- 1.690 Å, intensity 21.3, (3 -1 3)
- 1.403 Å, intensity 21.9, (5 0 2)



The following is a simulated X-ray diffraction stick pattern of LaGeO. It was derived from DFT lattice parameters and positions (GGA-PBE), using Cu Kα (weighted mean of Kα1 and Kα2).

Atomic structure:
```
data_LaGeO
_space_group_name_H-M_alt 'R -3 m'
_space_group_IT_number 166
_space_group_name_Hall '-R 3 2"'
_cell_length_a 4.0591
_cell_length_b 4.0591
_cell_length_c 25.7733
_cell_angle_alpha 90.00
_cell_angle_beta 90.00
_cell_angle_gamma 120.00
loop_
_atom_site_label
_atom_site_type_symbol
_atom_site_fract_x
_atom_site_fract_y
_atom_site_fract_z
_atom_site_occupancy
La1 La 0.0000 0.0000 0.1077 1
Ge1 Ge 0.0000 0.0000 0.3533 1
O1 O 0.0000 0.0000 0.2008 1
```

Principal peaks in the range 10 to 90 degrees two-theta, low angle first:
- 3.483 Å, intensity 18.0, (1 0 1)
- 3.086 Å, intensity 100.0, (1 0 4)
- 2.904 Å, intensity 29.4, (0 1 5)
- 2.864 Å, intensity 24.3, (0 0 9)
- 2.375 Å, intensity 17.7, (0 1 8)
- 2.030 Å, intensity 47.1, (1 1 0)
- 1.727 Å, intensity 18.6, (1 0 13)
- 1.696 Å, intensity 17.4, (0 2 4)
- 1.656 Å, intensity 27.9, (1 1 9)
- 1.301 Å, intensity 14.3, (2 1 4)



The following is a simulated X-ray diffraction stick pattern of La2CdNi3Pt12. It was derived from DFT lattice parameters and positions (GGA-PBE), using Cu Kα (weighted mean of Kα1 and Kα2).

Atomic structure:
```
data_La2CdNi3Pt12
_space_group_name_H-M_alt 'R -3 m'
_space_group_IT_number 166
_space_group_name_Hall '-R 3 2"'
_cell_length_a 8.2440
_cell_length_b 8.2440
_cell_length_c 18.6347
_cell_angle_alpha 90.00
_cell_angle_beta 90.00
_cell_angle_gamma 120.00
loop_
_atom_site_label
_atom_site_type_symbol
_atom_site_fract_x
_atom_site_fract_y
_atom_site_fract_z
_atom_site_occupancy
La1 La 0.0000 0.0000 0.1101 1
Cd1 Cd 0.0000 0.0000 0.5000 1
Ni1 Ni 0.0000 0.5000 0.0000 1
Pt1 Pt 0.0171 0.5086 0.3732 1
Pt2 Pt 0.0239 0.5119 0.8700 1
```

Principal peaks in the range 10 to 90 degrees two-theta, low angle first:
- 3.902 Å, intensity 13.7, (1 0 4)
- 2.834 Å, intensity 100.0, (0 2 4)
- 2.061 Å, intensity 65.0, (2 2 0)
- 1.951 Å, intensity 53.5, (2 0 8)
- 1.667 Å, intensity 19.2, (4 0 4)
- 1.417 Å, intensity 17.5, (0 4 8)
- 1.296 Å, intensity 15.3, (2 4 4)
- 1.240 Å, intensity 12.5, (2 2 12)
- 1.190 Å, intensity 9.8, (6 0 0)
- 1.168 Å, intensity 17.3, (4 2 8)



The following is a simulated X-ray diffraction stick pattern of Dy4Er4Tm. It was derived from DFT lattice parameters and positions (GGA-PBE), using Cu Kα (weighted mean of Kα1 and Kα2).

Atomic structure:
```
data_Dy4Er4Tm
_space_group_name_H-M_alt 'I 4/m m m'
_space_group_IT_number 139
_space_group_name_Hall '-I 4 2'
_cell_length_a 10.5432
_cell_length_b 10.5432
_cell_length_c 4.9605
_cell_angle_alpha 90.00
_cell_angle_beta 90.00
_cell_angle_gamma 90.00
loop_
_atom_site_label
_atom_site_type_symbol
_atom_site_fract_x
_atom_site_fract_y
_atom_site_fract_z
_atom_site_occupancy
Dy1 Dy 0.0000 0.3326 0.0000 1
Er1 Er 0.1664 0.1664 0.5000 1
Tm1 Tm 0.0000 0.0000 0.0000 1
```

Principal peaks in the range 10 to 90 degrees two-theta, low angle first:
- 2.868 Å, intensity 100.0, (3 0 1)
- 2.483 Å, intensity 50.6, (3 3 0)
- 1.756 Å, intensity 35.9, (6 0 0)
- 1.498 Å, intensity 42.6, (6 3 1)
- 1.434 Å, intensity 12.3, (6 0 2)
- 1.243 Å, intensity 3.8, (6 6 0)
- 1.240 Å, intensity 1.9, (0 0 4)
- 1.139 Å, intensity 17.9, (9 0 1)
- 1.111 Å, intensity 11.2, (9 3 0)
- 1.110 Å, intensity 5.6, (3 3 4)



The following is a simulated X-ray diffraction stick pattern of PmCI. It was derived from DFT lattice parameters and positions (GGA-PBE), using Cu Kα (weighted mean of Kα1 and Kα2).

Atomic structure:
```
data_PmCI
_space_group_name_H-M_alt 'P -1'
_space_group_IT_number 2
_cell_length_a 4.0385
_cell_length_b 4.2654
_cell_length_c 11.4099
_cell_angle_alpha 87.52
_cell_angle_beta 89.90
_cell_angle_gamma 61.75
loop_
_space_group_symop_operation_xyz
'x,y,z'
'-x,-y,-z'
loop_
_atom_site_label
_atom_site_type_symbol
_atom_site_fract_x
_atom_site_fract_y
_atom_site_fract_z
_atom_site_occupancy
Pm1 Pm 0.1426 0.2135 0.1256 1
C1 C 0.4238 0.6521 0.0268 1
I1 I 0.1824 0.1384 0.6862 1
```

Principal peaks in the range 10 to 90 degrees two-theta, low angle first:
- 5.698 Å, intensity 23.4, (0 0 2)
- 3.556 Å, intensity 46.5, (1 1 0)
- 3.206 Å, intensity 73.9, (0 1 2)
- 3.048 Å, intensity 40.2, (1 0 -2)
- 2.987 Å, intensity 100.0, (1 1 -2)
- 2.567 Å, intensity 24.0, (1 0 3)
- 2.249 Å, intensity 33.7, (1 0 -4)
- 2.127 Å, intensity 41.2, (1 2 0)
- 2.019 Å, intensity 30.1, (2 1 0)
- 1.709 Å, intensity 23.4, (2 0 -2)



The following is a simulated X-ray diffraction stick pattern of KZrSe2F. It was derived from DFT lattice parameters and positions (GGA-PBE), using Cu Kα (weighted mean of Kα1 and Kα2).

Atomic structure:
```
data_KZrSe2F
_space_group_name_H-M_alt 'P 1 21/m 1'
_space_group_IT_number 11
_cell_length_a 7.8336
_cell_length_b 3.8885
_cell_length_c 9.1276
_cell_angle_alpha 90.00
_cell_angle_beta 108.00
_cell_angle_gamma 90.00
loop_
_space_group_symop_operation_xyz
'x,y,z'
'-x,-y,-z'
'-x,y+1/2,-z'
'x,-y+1/2,z'
loop_
_atom_site_label
_atom_site_type_symbol
_atom_site_fract_x
_atom_site_fract_y
_atom_site_fract_z
_atom_site_occupancy
K1 K 0.1862 0.2500 0.3015 1
Zr1 Zr 0.3274 0.2500 0.8214 1
Se1 Se 0.3080 0.7500 0.0323 1
Se2 Se 0.3536 0.7500 0.6310 1
F1 F 0.0530 0.2500 0.7519 1
```

Principal peaks in the range 10 to 90 degrees two-theta, low angle first:
- 8.681 Å, intensity 31.5, (0 0 1)
- 7.450 Å, intensity 61.2, (1 0 0)
- 6.784 Å, intensity 63.6, (1 0 -1)
- 3.725 Å, intensity 37.0, (2 0 0)
- 3.094 Å, intensity 37.8, (2 0 1)
- 2.910 Å, intensity 100.0, (1 1 -2)
- 2.896 Å, intensity 82.4, (0 1 2)
- 2.483 Å, intensity 25.6, (3 0 0)
- 2.113 Å, intensity 25.8, (3 1 -2)
- 1.944 Å, intensity 27.4, (0 2 0)



The following is a simulated X-ray diffraction stick pattern of La3Se2I2. It was derived from DFT lattice parameters and positions (GGA-PBE), using Cu Kα (weighted mean of Kα1 and Kα2).

Atomic structure:
```
data_La3Se2I2
_space_group_name_H-M_alt 'C 1 2/m 1'
_space_group_IT_number 12
_cell_length_a 14.4126
_cell_length_b 4.2826
_cell_length_c 7.9522
_cell_angle_alpha 90.00
_cell_angle_beta 98.70
_cell_angle_gamma 90.00
loop_
_space_group_symop_operation_xyz
'x,y,z'
'-x,-y,-z'
'-x,y,-z'
'x,-y,z'
'x+1/2,y+1/2,z'
'-x+1/2,-y+1/2,-z'
'-x+1/2,y+1/2,-z'
'x+1/2,-y+1/2,z'
loop_
_atom_site_label
_atom_site_type_symbol
_atom_site_fract_x
_atom_site_fract_y
_atom_site_fract_z
_atom_site_occupancy
La1 La 0.0000 0.0000 0.0000 1
La2 La 0.2478 0.0000 0.7926 1
Se1 Se 0.1184 0.5000 0.8718 1
I1 I 0.1214 0.0000 0.3895 1
```

Principal peaks in the range 10 to 90 degrees two-theta, low angle first:
- 7.861 Å, intensity 11.4, (0 0 1)
- 4.101 Å, intensity 13.6, (1 1 0)
- 3.240 Å, intensity 55.3, (2 0 2)
- 3.058 Å, intensity 100.0, (3 1 -1)
- 2.778 Å, intensity 16.6, (1 1 2)
- 2.253 Å, intensity 34.3, (1 1 -3)
- 2.196 Å, intensity 40.0, (5 1 1)
- 2.184 Å, intensity 17.5, (6 0 -2)
- 2.141 Å, intensity 19.0, (0 2 0)
- 1.786 Å, intensity 19.6, (2 2 2)



The following is a simulated X-ray diffraction stick pattern of YAl4Ir2. It was derived from DFT lattice parameters and positions (GGA-PBE), using Cu Kα (weighted mean of Kα1 and Kα2).

Atomic structure:
```
data_YAl4Ir2
_space_group_name_H-M_alt 'P n m a'
_space_group_IT_number 62
_cell_length_a 17.1964
_cell_length_b 4.2661
_cell_length_c 6.6109
_cell_angle_alpha 90.00
_cell_angle_beta 90.00
_cell_angle_gamma 90.00
loop_
_space_group_symop_operation_xyz
'x,y,z'
'-x,-y,-z'
'-x+1/2,-y,z+1/2'
'x+1/2,y,-z+1/2'
'x+1/2,-y+1/2,-z+1/2'
'-x+1/2,y+1/2,z+1/2'
'-x,y+1/2,-z'
'x,-y+1/2,z'
loop_
_atom_site_label
_atom_site_type_symbol
_atom_site_fract_x
_atom_site_fract_y
_atom_site_fract_z
_atom_site_occupancy
Y1 Y 0.1402 0.2500 0.0166 1
Al1 Al 0.0327 0.7500 0.8489 1
Al2 Al 0.0695 0.2500 0.4932 1
Al3 Al 0.1869 0.7500 0.3249 1
Al4 Al 0.1943 0.7500 0.7295 1
Ir1 Ir 0.0384 0.7500 0.2445 1
Ir2 Ir 0.2152 0.2500 0.5298 1
```

Principal peaks in the range 10 to 90 degrees two-theta, low angle first:
- 3.604 Å, intensity 39.4, (4 0 1)
- 3.585 Å, intensity 49.8, (0 1 1)
- 3.085 Å, intensity 88.2, (2 0 2)
- 3.039 Å, intensity 38.7, (3 1 1)
- 3.028 Å, intensity 68.5, (4 1 0)
- 2.500 Å, intensity 100.0, (2 1 2)
- 2.482 Å, intensity 51.6, (5 1 1)
- 2.303 Å, intensity 41.8, (7 0 1)
- 2.133 Å, intensity 60.6, (0 2 0)
- 1.931 Å, intensity 59.4, (6 1 2)



The following is a simulated X-ray diffraction stick pattern of Zr3P4Rh4. It was derived from DFT lattice parameters and positions (GGA-PBE), using Cu Kα (weighted mean of Kα1 and Kα2).

Atomic structure:
```
data_Zr3P4Rh4
_space_group_name_H-M_alt 'I m m m'
_space_group_IT_number 71
_space_group_name_Hall '-I 2 2'
_cell_length_a 3.8965
_cell_length_b 6.8021
_cell_length_c 12.7555
_cell_angle_alpha 90.00
_cell_angle_beta 90.00
_cell_angle_gamma 90.00
loop_
_atom_site_label
_atom_site_type_symbol
_atom_site_fract_x
_atom_site_fract_y
_atom_site_fract_z
_atom_site_occupancy
Zr1 Zr 0.0000 0.0000 0.0000 1
Zr2 Zr 0.0000 0.5000 0.1184 1
P1 P 0.0000 0.0000 0.2163 1
P2 P 0.0000 0.1998 0.5000 1
Rh1 Rh 0.0000 0.2958 0.3261 1
```

Principal peaks in the range 10 to 90 degrees two-theta, low angle first:
- 6.378 Å, intensity 20.6, (0 0 2)
- 2.873 Å, intensity 31.3, (1 0 3)
- 2.512 Å, intensity 100.0, (1 2 1)
- 2.389 Å, intensity 27.7, (0 1 5)
- 2.320 Å, intensity 53.9, (1 1 4)
- 2.195 Å, intensity 42.0, (1 2 3)
- 2.134 Å, intensity 19.2, (1 0 5)
- 2.001 Å, intensity 35.4, (0 3 3)
- 1.948 Å, intensity 37.8, (2 0 0)
- 1.396 Å, intensity 21.3, (2 3 3)



The following is a simulated X-ray diffraction stick pattern of Pr3Si5Ni6. It was derived from DFT lattice parameters and positions (GGA-PBE), using Cu Kα (weighted mean of Kα1 and Kα2).

Atomic structure:
```
data_Pr3Si5Ni6
_space_group_name_H-M_alt 'P m m n'
_space_group_IT_number 59
_cell_length_a 3.9440
_cell_length_b 11.8209
_cell_length_c 9.9920
_cell_angle_alpha 90.00
_cell_angle_beta 90.00
_cell_angle_gamma 90.00
loop_
_space_group_symop_operation_xyz
'x,y,z'
'-x,-y,-z'
'-x+1/2,-y+1/2,z'
'x+1/2,y+1/2,-z'
'x+1/2,-y,-z'
'-x+1/2,y,z'
'-x,y+1/2,-z'
'x,-y+1/2,z'
loop_
_atom_site_label
_atom_site_type_symbol
_atom_site_fract_x
_atom_site_fract_y
_atom_site_fract_z
_atom_site_occupancy
Pr1 Pr 0.2500 0.0919 0.2502 1
Pr2 Pr 0.2500 0.7500 0.2464 1
Si1 Si 0.2500 0.0775 0.8687 1
Si2 Si 0.2500 0.6360 0.5116 1
Si3 Si 0.2500 0.7500 0.9008 1
Ni1 Ni 0.2500 0.0500 0.5824 1
Ni2 Ni 0.2500 0.2500 0.5040 1
Ni3 Ni 0.2500 0.2500 0.9847 1
Ni4 Ni 0.2500 0.5790 0.0084 1
```

Principal peaks in the range 10 to 90 degrees two-theta, low angle first:
- 3.667 Å, intensity 63.9, (0 3 1)
- 2.788 Å, intensity 17.6, (1 3 0)
- 2.544 Å, intensity 99.6, (1 0 3)
- 2.498 Å, intensity 22.1, (0 0 4)
- 2.434 Å, intensity 100.0, (1 3 2)
- 1.971 Å, intensity 46.9, (2 0 0)
- 1.736 Å, intensity 18.0, (1 6 1)
- 1.558 Å, intensity 35.2, (2 3 3)
- 1.547 Å, intensity 18.1, (2 0 4)
- 1.430 Å, intensity 27.4, (1 3 6)